Theoretical powder X-ray diffraction pattern
Compound: Er2CdRh4
Radiation: Cu Kα (λ = 1.5418 Å)
Structure: DFT lattice parameters and positions (GGA-PBE)
Neutral-atom scattering factors, no anomalous dispersion.

a = 4.5550 Å, b = 4.5550 Å, c = 22.4302 Å
α = 90.00°, β = 90.00°, γ = 120.00°
Space group R-3m (No. 166, hexagonal axes)
Inequivalent atoms, fractional coordinates:
1 Er 0.0000 0.0000 0.2451 x6
2 Cd 0.0000 0.0000 0.0000 x3
3 Rh 0.0000 0.0000 0.1247 x6
4 Rh 0.0000 0.0000 0.3756 x6

Peak list (6 most intense, 5° ≤ 2θ ≤ 70°, in order of rising 2θ)
22.9°, 3.885 Å, rel. 9, (1 0 1)
23.9°, 3.721 Å, rel. 22, (0 1 2)
39.4°, 2.285 Å, rel. 99, (0 1 8)
39.6°, 2.278 Å, rel. 100, (1 1 0)
46.7°, 1.944 Å, rel. 12, (1 1 6)
57.1°, 1.613 Å, rel. 33, (2 0 8)


Theoretical powder X-ray diffraction pattern
Compound: LiMg6Hg
Radiation: Cu Kα (λ = 1.5418 Å)
Structure: DFT lattice parameters and positions (GGA-PBE)
Neutral-atom scattering factors, no anomalous dispersion.

a = 6.3585 Å, b = 10.9607 Å, c = 6.2621 Å
α = 90.00°, β = 120.31°, γ = 90.00°
Space group C2/m (No. 12)
Inequivalent atoms, fractional coordinates:
1 Li 0.0000 0.0000 0.0000 x2
2 Mg 0.2477 0.2828 0.7540 x8
3 Mg 0.2490 0.0000 0.7510 x4
4 Hg 0.0000 0.5000 0.5000 x2

Peak list (6 most intense, 5° ≤ 2θ ≤ 70°, in order of rising 2θ)
16.4°, 5.406 Å, rel. 33, (0 0 1)
18.1°, 4.903 Å, rel. 100, (1 1 0)
23.1°, 3.849 Å, rel. 33, (0 2 1)
29.6°, 3.015 Å, rel. 43, (1 1 1)
32.7°, 2.738 Å, rel. 42, (2 0 -2)
37.8°, 2.380 Å, rel. 34, (1 3 1)


Theoretical powder X-ray diffraction pattern
Compound: Sr2CaEr
Radiation: Cu Kα (λ = 1.5418 Å)
Structure: DFT lattice parameters and positions (GGA-PBE)
Neutral-atom scattering factors, no anomalous dispersion.

a = 3.9238 Å, b = 3.9238 Å, c = 39.1504 Å
α = 90.00°, β = 90.00°, γ = 120.00°
Space group R3m (No. 160, hexagonal axes)
Inequivalent atoms, fractional coordinates:
1 Sr 0.0000 0.0000 0.0000 x3
2 Sr 0.0000 0.0000 0.1753 x3
3 Ca 0.0000 0.0000 0.4211 x3
4 Er 0.0000 0.0000 0.5876 x3

Peak list (6 most intense, 5° ≤ 2θ ≤ 70°, in order of rising 2θ)
6.8°, 13.050 Å, rel. 100, (0 0 3)
26.6°, 3.348 Å, rel. 43, (0 1 2)
27.3°, 3.263 Å, rel. 37, (0 0 12)
28.6°, 3.117 Å, rel. 86, (0 1 5)
30.8°, 2.904 Å, rel. 60, (1 0 7)
54.6°, 1.681 Å, rel. 32, (1 1 12)


Theoretical powder X-ray diffraction pattern
Compound: Na2Ti2O5
Radiation: Cu Kα (λ = 1.5418 Å)
Structure: DFT lattice parameters and positions (GGA-PBE)
Neutral-atom scattering factors, no anomalous dispersion.

a = 6.6649 Å, b = 5.6357 Å, c = 16.5030 Å
α = 90.00°, β = 90.00°, γ = 90.00°
Space group Pbcn (No. 60)
Inequivalent atoms, fractional coordinates:
1 Na 0.0939 0.2101 0.0569 x8
2 Ti 0.1027 0.2899 0.8516 x8
3 O 0.0000 0.2340 0.7500 x4
4 O 0.0687 0.2078 0.5726 x8
5 O 0.1651 0.3901 0.3679 x8

Peak list (6 most intense, 5° ≤ 2θ ≤ 70°, in order of rising 2θ)
17.1°, 5.185 Å, rel. 58, (1 0 2)
21.3°, 4.164 Å, rel. 100, (1 1 1)
21.5°, 4.126 Å, rel. 51, (0 0 4)
25.4°, 3.508 Å, rel. 42, (1 0 4)
31.7°, 2.821 Å, rel. 77, (0 2 0)
35.3°, 2.543 Å, rel. 39, (1 0 6)